Entry 1:
Theoretical powder diffractogram of SmHoTeSe for Cu Kα (λ = 1.5418 Å), from a crystal structure in Alexandria, relaxed with PBE.
Lines closer than 0.1° are merged.

The 10 most intense peaks (5° ≤ 2θ ≤ 70°), most intense first:
32.17 deg, 2.782 Å, I 100.0, (0 1 5)
43.97 deg, 2.059 Å, I 54.4, (1 1 0)
37.93 deg, 2.372 Å, I 35.8, (1 0 7)
29.76 deg, 3.002 Å, I 32.5, (1 0 4)
26.24 deg, 3.396 Å, I 24.3, (0 1 2)
25.29 deg, 3.522 Å, I 23.9, (1 0 1)
55.52 deg, 1.655 Å, I 21.2, (2 0 5)
68.07 deg, 1.377 Å, I 20.2, (1 1 12)
48.23 deg, 1.887 Å, I 14.7, (1 0 10)
59.44 deg, 1.555 Å, I 9.6, (0 2 7)

Structural model:
a = 4.119 Å, b = 4.119 Å, c = 22.233 Å
α = 90.00°, β = 90.00°, γ = 120.00°
Positions (direct):
Sm 0.000 0.000 0.000
Sm 0.333 0.667 0.667
Sm 0.667 0.333 0.333
Ho 0.000 0.000 0.187
Ho 0.333 0.667 0.854
Ho 0.667 0.333 0.520
Te 0.000 0.000 0.428
Te 0.333 0.667 0.095
Te 0.667 0.333 0.762
Se 0.000 0.000 0.592
Se 0.333 0.667 0.259
Se 0.667 0.333 0.925

***

Entry 2:
Theoretical powder diffractogram of Dy4TmSc2 for Cu Kα (λ = 1.5418 Å), from a crystal structure in Alexandria, relaxed with PBE.
Lines closer than 0.1° are merged.

The 10 most intense peaks (5° ≤ 2θ ≤ 70°), most intense first:
33.63 deg, 2.665 Å, I 100.0, (2 1 0)
33.61 deg, 2.666 Å, I 52.6, (1 -2 1)
29.28 deg, 3.050 Å, I 35.9, (1 1 -3)
32.67 deg, 2.741 Å, I 35.9, (0 2 2)
62.71 deg, 1.481 Å, I 32.5, (3 1 3)
58.92 deg, 1.568 Å, I 29.4, (2 3 2)
51.93 deg, 1.761 Å, I 28.9, (3 -1 1)
63.30 deg, 1.469 Å, I 24.1, (2 -1 5)
44.42 deg, 2.039 Å, I 11.5, (1 3 -1)
44.45 deg, 2.038 Å, I 11.4, (1 1 4)

Structural model:
a = 6.099 Å, b = 6.518 Å, c = 10.807 Å
α = 90.79°, β = 106.39°, γ = 90.02°
Positions (direct):
Dy 0.059 0.467 0.285
Dy 0.207 0.179 0.570
Dy 0.230 0.967 0.282
Dy 0.343 0.898 0.857
Dy 0.657 0.102 0.143
Dy 0.770 0.033 0.718
Dy 0.793 0.821 0.430
Dy 0.941 0.533 0.715
Tm 0.484 0.599 0.141
Tm 0.516 0.401 0.859
Sc 0.079 0.252 0.999
Sc 0.371 0.673 0.571
Sc 0.629 0.327 0.429
Sc 0.921 0.748 0.001